1.
For ScAlRe, DFT lattice parameters and positions (GGA-PBE) gives the simulated X-ray diffraction stick pattern in this record (Cu Kα (λ = 1.5418 Å)).

Most intense lines, 2θ = 10–90°, by angle:
d/Å  2θ/deg  I/Imax
4.574  19.41  59
3.118  28.63  79
2.345  38.38  58
2.245  40.17  100
2.087  43.36  31
1.658  55.41  20
1.602  57.53  16
1.464  63.55  18
1.334  70.62  37
1.278  74.18  15

Structure:
```
ScAlRe
1.0
3.316 0.000 0.000
0.000 3.316 0.000
0.000 0.000 9.148
Sc Al Re
2 2 2
direct
0.000 0.000 0.165
0.000 0.000 0.835
0.500 0.500 0.357
0.500 0.500 0.643
0.000 0.000 0.500
0.500 0.500 0.000
```

2.
For Dy2Tm2Lu3Ni2Te2, DFT lattice parameters and positions (GGA-PBE) gives the simulated X-ray diffraction stick pattern in this record (Cu Kα (λ = 1.5418 Å)).

Most intense lines, 2θ = 10–90°, by angle:
d/Å  2θ/deg  I/Imax
3.078  29.01  24
2.941  30.39  22
2.931  30.50  54
2.699  33.19  81
2.618  34.25  100
2.582  34.75  75
2.443  36.79  25
1.919  47.39  30
1.776  51.45  18
1.564  59.08  32

Structure:
```
Dy2Tm2Lu3Ni2Te2
1.0
-1.919 7.733 4.752
1.919 -7.733 4.752
1.919 7.733 -4.752
Dy Tm Lu Ni Te
2 2 3 2 2
direct
0.134 0.000 0.134
0.866 0.000 0.866
0.110 0.795 0.315
0.480 0.795 0.685
0.419 0.419 0.000
0.500 0.147 0.354
0.793 0.147 0.646
0.252 0.487 0.765
0.723 0.487 0.235
0.152 0.652 0.500
0.756 0.756 0.000
```

3.
For Sm2Dy2CBr5, DFT lattice parameters and positions (GGA-PBE) gives the simulated X-ray diffraction stick pattern in this record (Cu Kα (λ = 1.5418 Å)).

Most intense lines, 2θ = 10–90°, by angle:
d/Å  2θ/deg  I/Imax
8.706  10.16  28
7.945  11.14  43
3.105  28.75  21
2.902  30.81  49
2.843  31.47  26
2.793  32.04  100
2.539  35.35  18
2.012  45.05  59
1.915  47.49  19
1.598  57.68  17

Structure:
```
Sm2Dy2CBr5
1.0
8.949 -1.915 0.000
8.949 1.915 0.000
-1.887 0.000 7.945
Sm Dy C Br
2 2 1 5
direct
0.142 0.142 0.075
0.858 0.858 0.925
0.499 0.499 0.201
0.501 0.501 0.799
0.000 0.000 0.000
0.000 0.000 0.500
0.332 0.332 0.183
0.338 0.338 0.650
0.662 0.662 0.350
0.668 0.668 0.817
```

4.
For DyYNi2B2N2, DFT lattice parameters and positions (GGA-PBE) gives the simulated X-ray diffraction stick pattern in this record (Cu Kα (λ = 1.5418 Å)).

Most intense lines, 2θ = 10–90°, by angle:
d/Å  2θ/deg  I/Imax
3.169  28.16  100
2.560  35.06  71
2.506  35.83  60
2.348  38.34  95
2.065  43.84  68
1.748  52.35  45
1.530  60.50  26
1.496  62.03  24
1.443  64.57  25
1.433  65.07  39

Structure:
```
DyYNi2B2N2
1.0
3.495 0.000 0.000
0.000 3.495 0.000
0.000 0.000 7.519
Dy Y Ni B N
1 1 2 2 2
direct
0.000 0.000 0.000
0.500 0.500 0.335
0.000 0.500 0.668
0.500 0.000 0.668
0.000 0.000 0.507
0.500 0.500 0.829
0.000 0.000 0.313
0.500 0.500 0.023
```

5.
For K3RbNb2O5, DFT lattice parameters and positions (GGA-PBE) gives the simulated X-ray diffraction stick pattern in this record (Cu Kα (λ = 1.5418 Å)).

Most intense lines, 2θ = 10–90°, by angle:
d/Å  2θ/deg  I/Imax
5.485  16.16  17
4.396  20.20  64
3.316  26.89  50
3.238  27.55  26
3.041  29.37  100
2.921  30.60  57
2.627  34.13  16
2.391  37.62  17
2.317  38.88  37
1.857  49.06  38

Structure:
```
K3RbNb2O5
1.0
4.926 -3.316 0.000
4.926 3.316 0.000
-1.044 0.000 7.683
K Rb Nb O
3 1 2 5
direct
0.000 0.000 0.000
0.317 0.317 0.873
0.640 0.640 0.717
0.321 0.321 0.376
0.719 0.719 0.184
0.948 0.948 0.556
0.162 0.702 0.685
0.456 0.914 0.053
0.702 0.162 0.685
0.906 0.906 0.304
0.914 0.456 0.053
```

6.
For K2BaCdBiSb, DFT lattice parameters and positions (GGA-PBE) gives the simulated X-ray diffraction stick pattern in this record (Cu Kα (λ = 1.5418 Å)).

Most intense lines, 2θ = 10–90°, by angle:
d/Å  2θ/deg  I/Imax
4.356  20.39  40
4.047  21.97  31
3.320  26.86  63
3.154  28.30  100
2.805  31.91  56
2.564  34.99  43
2.515  35.69  32
2.452  36.64  25
1.796  50.85  23
1.568  58.92  23

Structure:
```
K2BaCdBiSb
1.0
5.129 0.000 0.000
0.000 10.050 0.000
0.000 0.000 8.720
K Ba Cd Bi Sb
4 2 2 2 2
direct
0.000 0.081 0.000
0.000 0.919 0.500
0.500 0.158 0.667
0.500 0.842 0.167
0.500 0.450 0.023
0.500 0.550 0.523
0.000 0.318 0.365
0.000 0.682 0.865
0.000 0.384 0.734
0.000 0.616 0.234
0.500 0.179 0.278
0.500 0.821 0.778
```

7.
For Nd3In, DFT lattice parameters and positions (GGA-PBE) gives the simulated X-ray diffraction stick pattern in this record (Cu Kα (λ = 1.5418 Å)).

Most intense lines, 2θ = 10–90°, by angle:
d/Å  2θ/deg  I/Imax
4.983  17.80  1
3.523  25.28  1
2.877  31.09  100
2.491  36.05  50
1.762  51.90  35
1.502  61.75  42
1.438  64.82  12
1.246  76.47  6
1.143  84.81  17
1.114  87.56  16

Structure:
```
Nd3In
1.0
4.983 0.000 0.000
0.000 4.983 0.000
0.000 0.000 4.983
Nd In
3 1
direct
0.000 0.000 0.500
0.000 0.500 0.000
0.500 0.000 0.000
0.500 0.500 0.500
```

8.
For Sm2Ho2CI2Br3, DFT lattice parameters and positions (GGA-PBE) gives the simulated X-ray diffraction stick pattern in this record (Cu Kα (λ = 1.5418 Å)).

Most intense lines, 2θ = 10–90°, by angle:
d/Å  2θ/deg  I/Imax
8.131  10.88  59
3.062  29.16  39
2.943  30.37  15
2.852  31.37  100
2.741  32.67  15
2.681  33.43  30
2.671  33.55  19
2.094  43.20  25
2.080  43.51  37
1.958  46.36  18

Structure:
```
Sm2Ho2CI2Br3
1.0
9.400 -1.958 0.000
9.400 1.958 0.000
-1.762 0.000 8.131
Sm Ho C I Br
2 2 1 2 3
direct
0.000 0.000 0.204
0.000 0.000 0.796
0.369 0.369 0.932
0.631 0.631 0.068
0.500 0.500 0.000
0.172 0.172 0.819
0.828 0.828 0.181
0.160 0.160 0.324
0.500 0.500 0.500
0.840 0.840 0.676
```

9.
For HoLuO3, DFT lattice parameters and positions (GGA-PBE) gives the simulated X-ray diffraction stick pattern in this record (Cu Kα (λ = 1.5418 Å)).

Most intense lines, 2θ = 10–90°, by angle:
d/Å  2θ/deg  I/Imax
2.872  31.14  100
2.854  31.35  60
2.044  44.32  15
2.018  44.92  25
1.662  55.28  24
1.651  55.67  47
1.436  64.94  16
1.291  73.33  9
1.278  74.22  8
1.276  74.33  11

Structure:
```
HoLuO3
1.0
-2.854 2.854 4.088
2.854 -2.854 4.088
2.854 2.854 -4.088
Ho Lu O
2 2 6
direct
0.250 0.750 0.500
0.750 0.250 0.500
0.000 0.000 0.000
0.500 0.500 0.000
0.154 0.654 0.809
0.250 0.250 0.000
0.346 0.154 0.500
0.654 0.846 0.500
0.750 0.750 0.000
0.846 0.346 0.191
```

10.
For KNa3Ag2P2, DFT lattice parameters and positions (GGA-PBE) gives the simulated X-ray diffraction stick pattern in this record (Cu Kα (λ = 1.5418 Å)).

Most intense lines, 2θ = 10–90°, by angle:
d/Å  2θ/deg  I/Imax
5.793  15.29  100
5.605  15.81  79
4.518  19.65  78
2.820  31.73  37
2.754  32.51  39
2.570  34.92  49
2.553  35.16  53
2.421  37.14  33
2.259  39.90  62
2.038  44.46  29

Structure:
```
KNa3Ag2P2
1.0
5.727 0.000 0.000
0.007 5.734 0.000
1.215 0.002 5.793
K Na Ag P
1 3 2 2
direct
0.000 0.000 0.000
0.071 0.500 0.623
0.355 0.998 0.347
0.712 0.498 0.284
0.537 0.251 0.810
0.537 0.747 0.811
0.269 0.499 0.089
0.795 0.999 0.532
```

11.
For Cu2H6C5SI2N2, DFT lattice parameters and positions (GGA-PBE) gives the simulated X-ray diffraction stick pattern in this record (Cu Kα (λ = 1.5418 Å)).

Most intense lines, 2θ = 10–90°, by angle:
d/Å  2θ/deg  I/Imax
8.144  10.86  100
7.890  11.21  54
7.116  12.44  30
4.232  20.99  20
3.558  25.03  16
3.514  25.34  18
3.455  25.79  12
3.426  26.01  21
3.082  28.97  15
2.238  40.31  13

Structure:
```
Cu2H6C5SI2N2
1.0
7.586 0.000 0.000
1.176 8.479 0.000
3.553 3.203 8.144
Cu H C S I N
4 12 10 2 4 4
direct
0.085 0.354 0.023
0.341 0.573 0.969
0.659 0.427 0.031
0.915 0.646 0.977
0.065 0.165 0.629
0.075 0.999 0.356
0.150 0.912 0.197
0.342 0.300 0.645
0.386 0.442 0.344
0.436 0.941 0.278
0.564 0.059 0.722
0.614 0.558 0.656
0.658 0.700 0.355
0.850 0.088 0.803
0.925 0.001 0.644
0.935 0.835 0.371
0.027 0.946 0.287
0.276 0.839 0.674
0.426 0.872 0.406
0.452 0.260 0.553
0.476 0.338 0.387
0.524 0.662 0.613
0.548 0.740 0.447
0.574 0.128 0.594
0.724 0.161 0.326
0.973 0.054 0.713
0.097 0.895 0.831
0.903 0.105 0.169
0.025 0.513 0.235
0.444 0.256 0.968
0.556 0.744 0.032
0.975 0.487 0.765
0.290 0.923 0.519
0.387 0.709 0.729
0.613 0.291 0.271
0.710 0.077 0.481
```

12.
For K4P2PdAu, DFT lattice parameters and positions (GGA-PBE) gives the simulated X-ray diffraction stick pattern in this record (Cu Kα (λ = 1.5418 Å)).

Most intense lines, 2θ = 10–90°, by angle:
d/Å  2θ/deg  I/Imax
6.076  14.58  100
4.950  17.92  37
3.034  29.44  69
2.685  33.37  23
2.604  34.44  48
2.491  36.06  19
2.484  36.17  24
2.093  43.22  17
2.088  43.33  17
1.597  57.74  15

Structure:
```
K4P2PdAu
1.0
3.849 -4.950 0.000
3.849 4.950 0.000
-0.022 0.000 5.765
K P Pd Au
4 2 1 1
direct
0.025 0.681 0.749
0.319 0.975 0.251
0.681 0.025 0.749
0.975 0.319 0.251
0.250 0.250 0.746
0.750 0.750 0.254
0.500 0.500 0.500
0.500 0.500 0.000
```

13.
For NaTh2F9, DFT lattice parameters and positions (GGA-PBE) gives the simulated X-ray diffraction stick pattern in this record (Cu Kα (λ = 1.5418 Å)).

Most intense lines, 2θ = 10–90°, by angle:
d/Å  2θ/deg  I/Imax
4.326  20.53  49
4.249  20.90  29
3.521  25.29  100
3.490  25.52  38
3.031  29.46  21
2.038  44.46  73
2.021  44.85  27
2.007  45.18  26
1.839  49.58  15
1.831  49.80  18

Structure:
```
NaTh2F9
1.0
-4.326 4.326 4.249
4.326 -4.326 4.249
4.326 4.326 -4.249
Na Th F
2 4 18
direct
0.000 0.500 0.500
0.500 0.000 0.500
0.117 0.117 0.627
0.490 0.490 0.373
0.510 0.883 0.000
0.883 0.510 0.000
0.110 0.849 0.349
0.151 0.500 0.261
0.166 0.753 0.000
0.239 0.890 0.739
0.247 0.247 0.413
0.262 0.500 0.762
0.271 0.271 0.000
0.500 0.151 0.261
0.500 0.262 0.762
0.500 0.738 0.238
0.500 0.761 0.651
0.729 0.729 0.000
0.738 0.500 0.238
0.753 0.166 0.000
0.761 0.500 0.651
0.834 0.834 0.587
0.849 0.110 0.349
0.890 0.239 0.739
```